For LiLa2ReO6, a cell relaxed with GGA-PBE gives the simulated powder X-ray diffraction pattern in this record (Cu Kα X-rays).

Most intense lines, 10 to 80 degrees two-theta, sorted by position:
| 2theta | Rel. int. |
| --- | --- |
| 18.98 | 73.8 |
| 19.38 | 23.9 |
| 19.58 | 38.2 |
| 30.94 | 44.7 |
| 31.58 | 100.0 |
| 31.84 | 99.0 |
| 32.18 | 49.3 |
| 37.51 | 27.1 |
| 45.24 | 45.6 |
| 45.68 | 28.1 |
| 56.84 | 23.1 |
| 57.31 | 33.9 |

Structure:
abc: 5.5638 5.7813 9.6493
angles: 90.00 124.58 90.00
Sites, in units of the cell vectors:
Li  0.0000  0.0000  0.0000
Li  0.0000  0.5000  0.5000
La  0.2350  0.0525  0.7469
La  0.2350  0.4475  0.2469
La  0.7650  0.5525  0.7531
La  0.7650  0.9475  0.2531
Re  0.5000  0.0000  0.5000
Re  0.5000  0.5000  0.0000
O  0.1661  0.1943  0.4555
O  0.1661  0.3057  0.9555
O  0.2609  0.7184  0.4504
O  0.2609  0.7816  0.9504
O  0.3466  0.0255  0.2587
O  0.3466  0.4745  0.7587
O  0.6534  0.5255  0.2413
O  0.6534  0.9745  0.7413
O  0.7391  0.2184  0.0496
O  0.7391  0.2816  0.5496
O  0.8339  0.6943  0.0445
O  0.8339  0.8057  0.5445

For SrCu2O3, a cell relaxed with GGA-PBE gives the simulated powder X-ray diffraction pattern in this record (Cu Kα X-rays).

Most intense lines, 10 to 80 degrees two-theta, sorted by position:
| 2theta | Rel. int. |
| --- | --- |
| 29.01 | 78.0 |
| 32.57 | 75.2 |
| 33.02 | 100.0 |
| 33.62 | 60.4 |
| 34.45 | 65.1 |
| 41.00 | 29.2 |
| 44.51 | 51.1 |
| 49.62 | 26.6 |
| 50.16 | 34.6 |
| 56.89 | 26.0 |
| 57.47 | 28.1 |
| 69.28 | 32.9 |

Structure:
abc: 4.0713 10.9120 3.7277
angles: 90.00 90.00 90.00
Sites, in units of the cell vectors:
Sr  0.2500  0.2500  0.1334
Sr  0.7500  0.7500  0.8666
Cu  0.2500  0.5850  0.3952
Cu  0.2500  0.9150  0.3952
Cu  0.7500  0.0850  0.6048
Cu  0.7500  0.4150  0.6048
O  0.2500  0.0766  0.5849
O  0.2500  0.4234  0.5849
O  0.2500  0.7500  0.2296
O  0.7500  0.2500  0.7704
O  0.7500  0.5766  0.4151
O  0.7500  0.9234  0.4151

For BBr3, a cell relaxed with GGA-PBE gives the simulated powder X-ray diffraction pattern in this record (Cu Kα X-rays).

Most intense lines, 10 to 80 degrees two-theta, sorted by position:
| 2theta | Rel. int. |
| --- | --- |
| 18.16 | 35.7 |
| 21.56 | 61.4 |
| 25.45 | 15.9 |
| 27.69 | 100.0 |
| 31.45 | 12.9 |
| 33.59 | 15.5 |
| 39.32 | 19.2 |
| 41.79 | 32.0 |
| 45.28 | 25.4 |
| 50.29 | 12.5 |
| 60.41 | 10.6 |
| 62.27 | 19.8 |

Structure:
abc: 7.0001 7.0001 8.2436
angles: 90.00 90.00 120.00
Sites, in units of the cell vectors:
B  0.3333  0.6667  0.2500
B  0.6667  0.3333  0.7500
Br  0.0702  0.3849  0.2500
Br  0.3147  0.9298  0.2500
Br  0.3849  0.3147  0.7500
Br  0.6151  0.6853  0.2500
Br  0.6853  0.0702  0.7500
Br  0.9298  0.6151  0.7500

For BaMg14Fe, a cell relaxed with GGA-PBE gives the simulated powder X-ray diffraction pattern in this record (Cu Kα X-rays).

Most intense lines, 10 to 80 degrees two-theta, sorted by position:
| 2theta | Rel. int. |
| --- | --- |
| 15.12 | 20.6 |
| 17.00 | 16.3 |
| 17.36 | 29.4 |
| 30.51 | 21.4 |
| 32.84 | 32.9 |
| 34.39 | 41.9 |
| 35.14 | 66.7 |
| 37.20 | 100.0 |
| 48.29 | 22.0 |
| 55.73 | 19.5 |
| 63.46 | 22.9 |
| 67.15 | 20.8 |

Structure:
abc: 10.4314 6.6197 6.6197
angles: 55.48 90.00 90.00
Sites, in units of the cell vectors:
Ba  0.0000  0.0000  0.0000
Mg  0.0000  0.0097  0.4925
Mg  0.0000  0.4925  0.0097
Mg  0.2291  0.6484  0.6484
Mg  0.2526  0.1674  0.6452
Mg  0.2526  0.6452  0.1674
Mg  0.2653  0.1620  0.1620
Mg  0.5000  0.4970  0.4970
Mg  0.5000  0.5007  0.9906
Mg  0.5000  0.9906  0.5007
Mg  0.5000  0.9924  0.9924
Mg  0.7347  0.1620  0.1620
Mg  0.7474  0.1674  0.6452
Mg  0.7474  0.6452  0.1674
Mg  0.7709  0.6484  0.6484
Fe  0.0000  0.4857  0.4857

For MgSi2, a cell relaxed with GGA-PBE gives the simulated powder X-ray diffraction pattern in this record (Cu Kα X-rays).

Most intense lines, 10 to 80 degrees two-theta, sorted by position:
| 2theta | Rel. int. |
| --- | --- |
| 16.20 | 54.1 |
| 30.88 | 73.9 |
| 32.39 | 37.9 |
| 32.99 | 58.6 |
| 35.82 | 66.0 |
| 36.83 | 44.7 |
| 36.98 | 51.7 |
| 38.52 | 33.2 |
| 38.68 | 52.4 |
| 40.78 | 47.5 |
| 42.46 | 100.0 |
| 48.37 | 64.6 |

Structure:
abc: 9.2299 9.2299 6.8330
angles: 90.43 90.43 23.53
Sites, in units of the cell vectors:
Mg  0.1009  0.1009  0.0590
Mg  0.1618  0.1618  0.5019
Mg  0.8382  0.8382  0.4981
Mg  0.8991  0.8991  0.9410
Si  0.0071  0.0071  0.6741
Si  0.2833  0.2833  0.7773
Si  0.2935  0.2935  0.1481
Si  0.4213  0.4213  0.2527
Si  0.5787  0.5787  0.7473
Si  0.7065  0.7065  0.8519
Si  0.7167  0.7167  0.2227
Si  0.9929  0.9929  0.3259

For P, a cell relaxed with GGA-PBE gives the simulated powder X-ray diffraction pattern in this record (Cu Kα X-rays).

Most intense lines, 10 to 80 degrees two-theta, sorted by position:
| 2theta | Rel. int. |
| --- | --- |
| 15.31 | 67.5 |
| 18.08 | 100.0 |
| 24.87 | 15.9 |
| 28.24 | 7.4 |
| 28.40 | 29.4 |
| 29.34 | 19.9 |
| 30.91 | 10.3 |
| 40.08 | 11.5 |
| 42.02 | 4.9 |
| 42.47 | 8.7 |
| 46.65 | 7.5 |
| 57.57 | 5.3 |

Structure:
abc: 7.1195 7.1195 7.1555
angles: 90.00 90.00 71.28
Sites, in units of the cell vectors:
P  0.1058  0.8942  0.9487
P  0.3942  0.6058  0.4487
P  0.6058  0.3942  0.5513
P  0.8942  0.1058  0.0513